Record 1
ZnH8C4N2O6: calculated powder XRD pattern (Cu Kα), based on a crystal structure in OQMD, relaxed with GGA-PBE.

Main lines, in order of rising 2θ (2θ from 10° to 80°):
| 2θ/deg | d (Å) | intensity |
| --- | --- | --- |
| 13.1 | 6.769 | 55.1 |
| 17.2 | 5.150 | 100.0 |
| 17.9 | 4.955 | 56.1 |
| 24.9 | 3.572 | 92.6 |
| 32.5 | 2.754 | 50.5 |
| 41.4 | 2.182 | 46.6 |

Atomic structure:
```
ZnH8C4N2O6
1.0
7.6818 0.0000 0.0000
0.0000 7.1421 0.0000
-3.9893 0.0000 7.4326
Zn H C N O
2 16 8 4 12
Cartesian
0.0000 0.0000 0.0000
-1.9946 3.5710 3.7163
-1.9369 0.9193 5.0521
0.0577 2.6517 1.3358
1.3417 5.2762 0.4809
-0.6530 5.4369 4.1972
0.3308 0.8693 4.8111
2.3255 2.7017 1.0948
1.0862 3.8660 4.6640
3.0809 6.8471 0.9477
0.6117 0.2950 6.4849
2.6063 3.2761 2.7686
1.3671 4.4403 6.3378
3.3617 6.2728 2.6215
4.3455 1.7052 3.2354
2.3509 1.8658 6.9517
3.6348 4.4904 6.0968
5.6295 6.2227 2.3805
-1.3313 0.6474 5.9324
0.6633 2.9236 2.2161
-1.2009 4.5966 6.5468
0.7938 6.1165 2.8305
2.8988 1.0256 4.6021
4.8934 2.5454 0.8858
3.0293 4.2185 5.2165
5.0239 6.4946 1.5002
-0.0231 0.6206 5.7298
1.9715 2.9504 2.0135
1.7210 4.1916 5.4191
3.7157 6.5215 1.7028
-1.6101 5.2961 4.3308
0.3845 5.4170 0.6145
-1.8484 0.4007 7.0578
0.1463 3.1703 3.3415
0.6258 0.1143 2.7233
-1.3689 3.4567 6.4396
5.0614 3.6853 0.9930
3.0668 7.0278 4.7093
3.5463 3.9718 4.0911
5.5409 6.7413 0.3748
3.3080 1.7250 6.8181
5.3027 1.8460 3.1018
```

=====

Record 2
DyTeAuO: calculated powder XRD pattern (Cu Kα), based on a crystal structure in OQMD, relaxed with GGA-PBE.

Main lines, in order of rising 2θ (2θ from 10° to 80°):
| 2θ/deg | d (Å) | intensity |
| --- | --- | --- |
| 28.1 | 3.177 | 95.3 |
| 31.3 | 2.857 | 100.0 |
| 32.6 | 2.745 | 70.1 |
| 34.3 | 2.617 | 98.1 |
| 36.0 | 2.493 | 61.4 |
| 45.8 | 1.979 | 66.5 |

Atomic structure:
```
DyTeAuO
1.0
5.6947 0.0000 0.0000
0.0000 10.3165 0.0000
0.0000 0.0000 5.7133
Dy Te Au O
4 4 4 4
Cartesian
0.0000 1.0676 1.4283
0.0000 9.2489 4.2850
2.8473 1.0676 4.2850
2.8473 9.2489 1.4283
0.0000 2.8560 4.2850
0.0000 7.4605 1.4283
2.8473 2.8560 1.4283
2.8473 7.4605 4.2850
1.4237 5.1582 1.3334
1.4237 5.1582 4.1900
4.2710 5.1582 1.5233
4.2710 5.1582 4.3799
1.4237 0.0000 0.0015
1.4237 0.0000 2.8581
4.2710 0.0000 5.7118
4.2710 0.0000 2.8551
```

=====

Record 3
ErTmSeO2: calculated powder XRD pattern (Cu Kα), based on a crystal structure in OQMD, relaxed with GGA-PBE.

Main lines, in order of rising 2θ (2θ from 10° to 80°):
| 2θ/deg | d (Å) | intensity |
| --- | --- | --- |
| 30.5 | 2.933 | 100.0 |
| 38.5 | 2.336 | 40.1 |
| 48.3 | 1.884 | 32.5 |
| 49.5 | 1.841 | 16.4 |
| 58.2 | 1.585 | 16.5 |
| 64.8 | 1.439 | 14.9 |

Atomic structure:
```
ErTmSeO2
1.0
3.7685 0.0000 0.0000
-1.8843 3.2637 0.0000
0.0000 0.0000 6.6894
Er Tm Se O
1 1 1 2
Cartesian
0.0000 0.0000 0.0000
0.0000 2.1758 3.8905
1.8843 1.0879 1.9502
0.0000 0.0000 4.4345
0.0000 2.1758 6.1262
```

=====

Record 4
Cd5Au2: calculated powder XRD pattern (Cu Kα), based on a crystal structure in OQMD, relaxed with GGA-PBE.

Main lines, in order of rising 2θ (2θ from 10° to 80°):
| 2θ/deg | d (Å) | intensity |
| --- | --- | --- |
| 25.9 | 3.435 | 20.5 |
| 37.7 | 2.387 | 100.0 |
| 38.3 | 2.351 | 27.4 |
| 39.5 | 2.281 | 18.5 |
| 42.2 | 2.141 | 13.0 |
| 63.4 | 1.468 | 13.8 |

Atomic structure:
```
Cd5Au2
1.0
8.5630 0.0000 0.0000
-4.2815 7.4158 0.0000
0.0000 0.0000 9.1221
Cd Au
20 8
Cartesian
0.0000 0.0000 0.0000
0.0000 0.0000 4.5611
-1.7127 3.9550 2.2805
0.0000 3.0224 4.8779
0.0000 3.0224 8.8053
-1.6640 5.9046 4.8779
-1.6640 5.9046 8.8053
2.6175 1.5112 0.3168
2.6175 1.5112 4.2442
1.7127 3.9550 2.2805
0.0000 6.9215 2.2805
4.2815 0.4943 6.8416
2.5688 3.4608 6.8416
1.6640 5.9046 4.8779
1.6640 5.9046 8.8053
5.9456 1.5112 0.3168
5.9456 1.5112 4.2442
4.2815 4.3934 0.3168
4.2815 4.3934 4.2442
5.9942 3.4608 6.8416
0.0000 1.7499 2.2805
-2.7661 6.5409 2.2805
1.5154 0.8749 6.8416
0.0000 4.9439 6.8416
4.2815 2.4719 2.2805
2.7661 6.5409 2.2805
7.0476 0.8749 6.8416
4.2815 5.6659 6.8416
```

=====

Record 5
NaHoHgS3: calculated powder XRD pattern (Cu Kα), based on a crystal structure in OQMD, relaxed with GGA-PBE.

Main lines, in order of rising 2θ (2θ from 10° to 80°):
| 2θ/deg | d (Å) | intensity |
| --- | --- | --- |
| 13.3 | 6.671 | 100.0 |
| 28.5 | 3.130 | 58.1 |
| 31.1 | 2.875 | 28.3 |
| 33.4 | 2.682 | 23.1 |
| 34.4 | 2.608 | 46.9 |
| 44.1 | 2.054 | 20.4 |

Atomic structure:
```
NaHoHgS3
1.0
2.0130 -6.6708 0.0000
2.0130 6.6708 0.0000
0.0000 0.0000 10.7263
Na Ho Hg S
2 2 2 6
Cartesian
2.0130 3.4376 8.0447
2.0130 -3.4376 2.6816
2.0130 0.0000 0.0000
2.0130 0.0000 5.3631
2.0130 6.0408 2.6816
2.0130 -6.0408 8.0447
2.0130 4.8530 0.5090
2.0130 4.8530 4.8542
2.0130 1.0828 2.6816
2.0130 -1.0828 8.0447
2.0130 -4.8530 5.8721
2.0130 -4.8530 10.2173
```

=====

Record 6
Lu3BiSe2: calculated powder XRD pattern (Cu Kα), based on a crystal structure in OQMD, relaxed with GGA-PBE.

Main lines, in order of rising 2θ (2θ from 10° to 80°):
| 2θ/deg | d (Å) | intensity |
| --- | --- | --- |
| 30.7 | 2.914 | 100.0 |
| 43.7 | 2.073 | 37.8 |
| 44.2 | 2.049 | 31.5 |
| 54.3 | 1.689 | 20.4 |
| 72.1 | 1.310 | 17.7 |
| 72.9 | 1.297 | 12.0 |

Atomic structure:
```
Lu3BiSe2
1.0
4.1463 0.0000 0.0000
-2.0732 3.5908 0.0000
0.0000 0.0000 9.9781
Lu Bi Se
3 1 2
Cartesian
0.0000 0.0000 0.0000
0.0000 2.3939 6.8823
2.0732 1.1969 3.0958
0.0000 0.0000 4.9891
0.0000 2.3939 1.5488
2.0732 1.1969 8.4293
```